For Ta4Ag3, a PBE-relaxed structure gives the calculated PXRD pattern in this record (Cu Kα X-rays).
Lines closer than 0.1° are merged.

Main lines, by intensity (2θ from 10° to 90°):
2θ (°)  d (Å)  I_rel  hkl
39.2  2.300  100  1 0 7
37.2  2.420  59  1 1 0
68.3  1.373  38  2 1 7
53.6  1.711  22  2 0 0
72.3  1.307  16  1 1 14
84.2  1.150  11  2 0 14
79.2  1.210  8  2 2 0
59.5  1.553  7  0 0 14
16.3  5.435  6  0 0 4
28.9  3.094  3  1 0 3

Structure:
a b c (Å): 3.4220 3.4220 21.7381
angles (deg): 90.00 90.00 90.00
Space group I4/mmm (No. 139)
Symmetry-distinct sites (fractional):
Ta 0.0000 0.0000 0.0745
Ta 0.0000 0.0000 0.3595
Ag 0.0000 0.0000 0.2163
Ag 0.0000 0.0000 0.5000